Computed X-ray diffraction stick pattern
Compound: ZrAgSb
Radiation: λ = 1.5418 Å (Cu Kα)
Structure: the PBE geometry in Alexandria
Intensities are scaled so that the largest is 100.

Main lines, by angle (15 to 90 degrees two-theta):
index  d/Å  I_rel
1 0 1  2.718  100
1 1 0  2.248  62
0 2 1  1.732  25
0 1 2  1.706  22
2 1 1  1.372  23
1 2 2  1.163  12

Cell and atoms:
abc: 4.4967 4.4967 3.7943
angles: 90.00 90.00 120.00
Space group P3m1 (No. 156)
Inequivalent atoms, fractional coordinates:
Zr1 0.0000 0.0000 0.0000 x1
Ag1 0.6667 0.3333 0.3368 x1
Sb1 0.3333 0.6667 0.5611 x1